The following is a computed X-ray powder pattern of Sr3AsPt3. It was derived from DFT lattice parameters and positions (PBE), using Cu Kα (weighted mean of Kα1 and Kα2).
Peak positions follow from Bragg's law for the DFT cell and can differ from measured ones.

Atomic structure:
Lattice parameters (Å, degrees): 10.9871 4.4723 15.4111 90.00 110.43 90.00
Space group C2/m (No. 12)
One atom of each set of equivalent atoms:
Sr: 0.0292 0.0000 0.2722 x4
Sr: 0.1452 0.5000 0.1146 x4
Sr: 0.1773 0.0000 0.5759 x4
As: 0.1598 0.5000 0.9031 x4
Pt: 0.0289 0.5000 0.4200 x4
Pt: 0.0988 0.0000 0.9536 x4
Pt: 0.1756 0.5000 0.7429 x4

Principal peaks in the range 2θ from 10° to 80°, by angle:
Position (°2θ), I/Imax, hkl
16.13, 41, 2 0 -1
21.68, 56, 1 1 -1
30.55, 100, 1 1 3
31.75, 62, 3 1 -2
35.20, 30, 3 1 1
37.36, 34, 0 0 6
37.57, 35, 4 0 1
38.66, 60, 3 1 -5
40.33, 53, 0 2 0
56.14, 23, 0 2 6
56.30, 22, 4 2 1
62.84, 19, 7 1 -4